For Ta5Si3N, a structure optimized by DFT (PBE) gives the simulated powder diffraction line list in this record (λ = 1.5418 Å (Cu Kα)).
No peak broadening, texture or thermal motion is included.

Structure:
Unit cell a=7.473 b=7.473 c=5.419 alpha=90.00 beta=90.00 gamma=120.00
Positions (direct):
Ta (0.000, 0.235, 0.250)
Ta (0.000, 0.765, 0.750)
Ta (0.235, 0.000, 0.250)
Ta (0.235, 0.235, 0.750)
Ta (0.333, 0.667, 0.000)
Ta (0.333, 0.667, 0.500)
Ta (0.667, 0.333, 0.000)
Ta (0.667, 0.333, 0.500)
Ta (0.765, 0.000, 0.750)
Ta (0.765, 0.765, 0.250)
Si (0.000, 0.405, 0.750)
Si (0.000, 0.595, 0.250)
Si (0.405, 0.000, 0.750)
Si (0.405, 0.405, 0.250)
Si (0.595, 0.000, 0.250)
Si (0.595, 0.595, 0.750)
N (0.000, 0.000, 0.000)
N (0.000, 0.000, 0.500)

Top 10 peaks for 5 to 70 degrees two-theta, by angle:
2θ/deg	Rel. int.
27.57	31.6
29.03	46.8
35.93	50.2
36.74	53.3
40.46	100.0
41.16	81.0
41.88	30.8
60.16	27.2
64.09	26.0
67.42	28.3


For Ta3Si6N11, a structure optimized by DFT (PBE) gives the simulated powder diffraction line list in this record (λ = 1.5418 Å (Cu Kα)).
No peak broadening, texture or thermal motion is included.

Structure:
Unit cell a=9.699 b=9.699 c=4.816 alpha=90.00 beta=90.00 gamma=90.00
Positions (direct):
Ta (0.000, 0.000, 0.000)
Ta (0.174, 0.326, 0.941)
Ta (0.326, 0.826, 0.941)
Ta (0.500, 0.500, 0.000)
Ta (0.674, 0.174, 0.941)
Ta (0.826, 0.674, 0.941)
Si (0.096, 0.814, 0.524)
Si (0.128, 0.628, 0.024)
Si (0.186, 0.096, 0.524)
Si (0.314, 0.596, 0.524)
Si (0.372, 0.128, 0.024)
Si (0.404, 0.314, 0.524)
Si (0.596, 0.686, 0.524)
Si (0.628, 0.872, 0.024)
Si (0.686, 0.404, 0.524)
Si (0.814, 0.904, 0.524)
Si (0.872, 0.372, 0.024)
Si (0.904, 0.186, 0.524)
N (0.000, 0.500, 0.022)
N (0.059, 0.187, 0.695)
N (0.108, 0.800, 0.168)
N (0.177, 0.677, 0.690)
N (0.187, 0.941, 0.695)
N (0.200, 0.108, 0.168)
N (0.300, 0.608, 0.168)
N (0.313, 0.441, 0.695)
N (0.323, 0.177, 0.690)
N (0.392, 0.300, 0.168)
N (0.441, 0.687, 0.695)
N (0.500, 0.000, 0.022)
N (0.559, 0.313, 0.695)
N (0.608, 0.700, 0.168)
N (0.677, 0.823, 0.690)
N (0.687, 0.559, 0.695)
N (0.700, 0.392, 0.168)
N (0.800, 0.892, 0.168)
N (0.813, 0.059, 0.695)
N (0.823, 0.323, 0.690)
N (0.892, 0.200, 0.168)
N (0.941, 0.813, 0.695)

Top 10 peaks for 5 to 70 degrees two-theta, by angle:
2θ/deg	Rel. int.
12.91	28.7
18.42	94.4
20.47	30.4
26.00	26.0
27.68	69.5
29.11	39.4
32.04	44.5
34.67	100.0
38.27	34.5
48.04	26.2


For Si2TeN2, a structure optimized by DFT (PBE) gives the simulated powder diffraction line list in this record (λ = 1.5418 Å (Cu Kα)).
No peak broadening, texture or thermal motion is included.

Structure:
Unit cell a=6.704 b=6.704 c=5.008 alpha=90.00 beta=90.00 gamma=49.90
Positions (direct):
Si (0.055, 0.340, 0.000)
Si (0.340, 0.055, 0.500)
Si (0.660, 0.945, 0.000)
Si (0.945, 0.660, 0.500)
Te (0.261, 0.739, 0.600)
Te (0.739, 0.261, 0.100)
N (0.119, 0.356, 0.338)
N (0.356, 0.119, 0.838)
N (0.644, 0.881, 0.338)
N (0.881, 0.644, 0.838)

Top 10 peaks for 5 to 70 degrees two-theta, by angle:
2θ/deg	Rel. int.
24.85	100.0
29.39	24.2
31.64	12.9
32.54	23.9
35.00	14.5
38.90	16.3
44.41	29.1
50.98	10.5
56.92	10.2
58.59	10.3


For V5Si3N, a structure optimized by DFT (PBE) gives the simulated powder diffraction line list in this record (λ = 1.5418 Å (Cu Kα)).
No peak broadening, texture or thermal motion is included.

Structure:
Unit cell a=7.095 b=7.095 c=4.973 alpha=90.00 beta=90.00 gamma=120.00
Positions (direct):
V (0.000, 0.227, 0.250)
V (0.000, 0.773, 0.750)
V (0.227, 0.000, 0.250)
V (0.227, 0.227, 0.750)
V (0.333, 0.667, 0.000)
V (0.333, 0.667, 0.500)
V (0.667, 0.333, 0.000)
V (0.667, 0.333, 0.500)
V (0.773, 0.000, 0.750)
V (0.773, 0.773, 0.250)
Si (0.000, 0.409, 0.750)
Si (0.000, 0.591, 0.250)
Si (0.409, 0.000, 0.750)
Si (0.409, 0.409, 0.250)
Si (0.591, 0.000, 0.250)
Si (0.591, 0.591, 0.750)
N (0.000, 0.000, 0.000)
N (0.000, 0.000, 0.500)

Top 10 peaks for 5 to 70 degrees two-theta, by angle:
2θ/deg	Rel. int.
25.10	10.3
36.12	9.6
38.78	35.7
39.08	20.5
42.98	100.0
44.22	26.1
44.49	68.4
54.96	7.6
64.53	15.3
69.69	21.3